Computed powder XRD pattern
Compound: MgCr3InO8
Radiation: Cu Kα (weighted mean of Kα1 and Kα2)
Structure: a crystal structure in the Materials Project, relaxed with PBE+U

The 10 most intense peaks (15° ≤ 2θ ≤ 90°), low angle first:
- 2θ 19.0, I = 37
- 2θ 20.4, I = 50
- 2θ 21.0, I = 46
- 2θ 22.7, I = 100
- 2θ 27.0, I = 28
- 2θ 27.4, I = 40
- 2θ 30.2, I = 44
- 2θ 32.4, I = 58
- 2θ 34.9, I = 60
- 2θ 36.3, I = 45

Cell and atoms:
```
MgCr3InO8
1.0
4.426 -2.762 0.000
4.426 2.762 0.000
-1.475 0.000 8.271
Mg Cr In O
1 3 1 8
Cartesian
0.000 0.000 0.000 Mg
0.368 0.000 2.915 Cr
3.490 0.000 4.491 Cr
6.068 0.000 1.255 Cr
0.473 0.000 6.256 In
2.289 0.000 3.310 O
5.051 1.432 1.370 O
4.519 1.428 4.400 O
2.646 0.000 5.994 O
5.432 0.000 8.022 O
5.051 -1.432 1.370 O
4.519 -1.428 4.400 O
7.299 0.000 2.405 O
```

Computed powder XRD pattern
Compound: MgCr3InO8
Radiation: Cu Kα (weighted mean of Kα1 and Kα2)
Structure: a crystal structure in the Materials Project, relaxed with PBE+U

The 10 most intense peaks (15° ≤ 2θ ≤ 90°), low angle first:
- 2θ 18.5, I = 65
- 2θ 20.0, I = 42
- 2θ 23.0, I = 74
- 2θ 24.5, I = 35
- 2θ 31.3, I = 77
- 2θ 33.5, I = 79
- 2θ 33.7, I = 95
- 2θ 34.1, I = 100
- 2θ 47.1, I = 27
- 2θ 60.4, I = 33

Cell and atoms:
```
MgCr3InO8
1.0
5.273 0.000 0.000
2.180 4.808 0.000
0.064 0.052 6.424
Mg Cr In O
1 3 1 8
Cartesian
0.000 0.000 0.000 Mg
2.598 1.668 4.826 Cr
5.139 3.312 6.306 Cr
7.367 4.738 3.305 Cr
2.549 1.632 1.662 In
1.731 2.852 6.337 O
0.742 0.454 1.770 O
0.899 0.557 4.705 O
2.008 2.930 3.351 O
4.249 2.702 4.978 O
4.325 2.756 1.351 O
3.303 0.393 6.343 O
3.506 0.598 3.353 O
```